Theoretical X-ray powder pattern of Li3Bi2P3O12 for Cu Kα X-rays, from a DFT-relaxed cell (GGA-PBE, Alexandria).
No peak broadening, texture or thermal motion is included.

Principal peaks in the range 5° ≤ 2θ ≤ 70°, low angle first:
d_spacing  I/Imax  hkl
6.560  51.4  0 1 2
4.842  85.4  1 0 4
4.459  72.4  1 1 0
3.280  37.1  0 2 4
3.035  100.0  1 1 6
2.642  33.9  2 1 4
2.574  37.1  3 0 0
1.963  27.6  2 2 6
1.893  26.4  3 -1 10
1.561  26.2  4 1 6

Structural model:
```
data_Li3Bi2P3O12
_chemical_formula_sum 'Li18 Bi12 P18 O72'
_space_group_name_H-M_alt 'R -3'
_space_group_IT_number 148
_space_group_name_Hall '-R 3'
_cell_length_a 8.9182
_cell_length_b 8.9182
_cell_length_c 24.8585
_cell_angle_alpha 90.00
_cell_angle_beta 90.00
_cell_angle_gamma 120.00
loop_
_atom_site_label
_atom_site_type_symbol
_atom_site_fract_x
_atom_site_fract_y
_atom_site_fract_z
_atom_site_occupancy
Li1 Li 0.0187 0.7114 0.0452 1
Bi1 Bi 0.0000 0.0000 0.1527 1
Bi2 Bi 0.0000 0.0000 0.3444 1
P1 P 0.0033 0.3090 0.7450 1
O1 O 0.0226 0.2154 0.7937 1
O2 O 0.0452 0.4820 0.3621 1
O3 O 0.0834 0.5255 0.0617 1
O4 O 0.0835 0.5047 0.7561 1
```

=====

Theoretical X-ray powder pattern of Ho5Cu3 for Cu Kα X-rays, from a DFT-relaxed cell (GGA-PBE, Alexandria).
No peak broadening, texture or thermal motion is included.

Principal peaks in the range 5° ≤ 2θ ≤ 70°, low angle first:
d_spacing  I/Imax  hkl
3.367  22.3  1 0 1
3.144  15.2  0 0 5
2.591  100.0  1 0 4
2.437  55.1  1 1 0
2.086  8.7  1 0 6
1.926  15.6  1 1 5
1.723  19.1  2 0 0
1.558  9.9  1 0 9
1.511  8.6  2 0 5
1.435  31.5  2 1 4

Structural model:
```
data_Ho5Cu3
_chemical_formula_sum 'Ho5 Cu3'
_space_group_name_H-M_alt 'P 4/m m m'
_space_group_IT_number 123
_space_group_name_Hall '-P 4 2'
_cell_length_a 3.447
_cell_length_b 3.447
_cell_length_c 15.718
_cell_angle_alpha 90.00
_cell_angle_beta 90.00
_cell_angle_gamma 90.00
loop_
_atom_site_label
_atom_site_type_symbol
_atom_site_fract_x
_atom_site_fract_y
_atom_site_fract_z
_atom_site_occupancy
Ho1 Ho 0.000 0.000 0.000 1
Ho2 Ho 0.000 0.000 0.219 1
Ho3 Ho 0.500 0.500 0.390 1
Cu1 Cu 0.000 0.000 0.500 1
Cu2 Cu 0.500 0.500 0.109 1
```

=====

Theoretical X-ray powder pattern of LiPr3Al2O8 for Cu Kα X-rays, from a DFT-relaxed cell (GGA-PBE, Alexandria).
No peak broadening, texture or thermal motion is included.

Principal peaks in the range 5° ≤ 2θ ≤ 70°, low angle first:
d_spacing  I/Imax  hkl
3.899  100.0  1 0 1
2.782  62.0  0 1 2
2.732  88.0  1 1 0
2.237  42.7  0 2 1
2.064  16.4  1 0 3
1.949  38.1  2 0 2
1.756  18.6  1 1 3
1.731  22.1  2 1 1
1.587  24.3  1 2 2
1.577  16.6  3 0 0

Structural model:
```
data_LiPr3Al2O8
_chemical_formula_sum 'Li1 Pr3 Al2 O8'
_space_group_name_H-M_alt 'P -3 m 1'
_space_group_IT_number 164
_space_group_name_Hall '-P 3 2"'
_cell_length_a 5.4640
_cell_length_b 5.4640
_cell_length_c 6.8795
_cell_angle_alpha 90.00
_cell_angle_beta 90.00
_cell_angle_gamma 120.00
loop_
_atom_site_label
_atom_site_type_symbol
_atom_site_fract_x
_atom_site_fract_y
_atom_site_fract_z
_atom_site_occupancy
Li1 Li 0.0000 0.0000 0.0000 1
Pr1 Pr 0.0000 0.0000 0.5000 1
Pr2 Pr 0.3333 0.6667 0.1304 1
Al1 Al 0.3333 0.6667 0.6980 1
O1 O 0.1666 0.3331 0.8083 1
O2 O 0.3333 0.6667 0.4492 1
```

=====

Theoretical X-ray powder pattern of AgBr3 for Cu Kα X-rays, from a DFT-relaxed cell (GGA-PBE, Alexandria).
No peak broadening, texture or thermal motion is included.

Principal peaks in the range 5° ≤ 2θ ≤ 70°, low angle first:
d_spacing  I/Imax  hkl
3.471  100.0  0 2 1
2.646  19.6  0 4 0
2.554  23.1  2 0 0
2.300  17.5  0 0 2
2.057  46.6  2 2 1
1.838  12.8  2 4 0
1.736  10.6  0 4 2
1.709  14.4  2 0 2
1.436  11.2  2 4 2
1.384  10.5  2 6 1

Structural model:
```
data_AgBr3
_chemical_formula_sum 'Ag2 Br6'
_space_group_name_H-M_alt 'C m m m'
_space_group_IT_number 65
_space_group_name_Hall '-C 2 2'
_cell_length_a 5.108
_cell_length_b 10.585
_cell_length_c 4.599
_cell_angle_alpha 90.00
_cell_angle_beta 90.00
_cell_angle_gamma 90.00
loop_
_atom_site_label
_atom_site_type_symbol
_atom_site_fract_x
_atom_site_fract_y
_atom_site_fract_z
_atom_site_occupancy
Ag1 Ag 0.000 0.000 0.000 1
Br1 Br 0.000 0.220 0.500 1
Br2 Br 0.000 0.500 0.000 1
```

=====

Theoretical X-ray powder pattern of Na3Sc3SbTe8 for Cu Kα X-rays, from a DFT-relaxed cell (GGA-PBE, Alexandria).
No peak broadening, texture or thermal motion is included.

Principal peaks in the range 5° ≤ 2θ ≤ 70°, low angle first:
d_spacing  I/Imax  hkl
7.607  22.2  0 0 1
3.803  12.3  0 0 2
3.483  34.7  2 2 0
3.079  100.0  4 0 0
2.434  10.2  2 2 -3
2.249  36.3  2 2 2
2.112  35.1  0 4 0
1.740  12.1  4 4 0
1.539  10.5  8 0 0
1.413  12.6  6 2 2

Structural model:
```
data_Na3Sc3SbTe8
_chemical_formula_sum 'Na6 Sc6 Sb2 Te16'
_space_group_name_H-M_alt 'C 1 2/m 1'
_space_group_IT_number 12
_space_group_name_Hall '-C 2y'
_cell_length_a 14.645
_cell_length_b 8.437
_cell_length_c 9.044
_cell_angle_alpha 90.00
_cell_angle_beta 122.74
_cell_angle_gamma 90.00
loop_
_atom_site_label
_atom_site_type_symbol
_atom_site_fract_x
_atom_site_fract_y
_atom_site_fract_z
_atom_site_occupancy
Na1 Na 0.000 0.000 0.000 1
Na2 Na 0.250 0.250 0.000 1
Sc1 Sc 0.000 0.500 0.500 1
Sc2 Sc 0.250 0.250 0.500 1
Sb1 Sb 0.000 0.000 0.500 1
Te1 Te 0.012 0.258 0.277 1
Te2 Te 0.240 0.500 0.721 1
Te3 Te 0.246 0.000 0.723 1
```

=====

Theoretical X-ray powder pattern of K2Na6Ag for Cu Kα X-rays, from a DFT-relaxed cell (GGA-PBE, Alexandria).
No peak broadening, texture or thermal motion is included.

Principal peaks in the range 5° ≤ 2θ ≤ 70°, low angle first:
d_spacing  I/Imax  hkl
10.339  84.4  0 2 0
7.657  100.0  0 1 1
5.288  60.0  0 3 1
5.169  26.3  0 4 0
4.165  49.9  1 2 0
3.912  36.5  1 1 1
3.448  30.1  0 6 0
3.223  28.4  0 4 2
2.929  80.1  1 2 2
2.869  66.8  1 5 1

Structural model:
```
data_K2Na6Ag
_chemical_formula_sum 'K4 Na12 Ag2'
_space_group_name_H-M_alt 'A m m 2'
_space_group_IT_number 38
_space_group_name_Hall 'A 2 -2'
_cell_length_a 4.550
_cell_length_b 20.678
_cell_length_c 8.243
_cell_angle_alpha 90.00
_cell_angle_beta 90.00
_cell_angle_gamma 90.00
loop_
_atom_site_label
_atom_site_type_symbol
_atom_site_fract_x
_atom_site_fract_y
_atom_site_fract_z
_atom_site_occupancy
K1 K 0.000 0.208 0.000 1
Na1 Na 0.000 0.000 0.734 1
Na2 Na 0.000 0.087 0.344 1
Na3 Na 0.500 0.000 0.076 1
Na4 Na 0.500 0.131 0.650 1
Ag1 Ag 0.500 0.000 0.469 1
```

=====

Theoretical X-ray powder pattern of ThNiRu for Cu Kα X-rays, from a DFT-relaxed cell (GGA-PBE, Alexandria).
No peak broadening, texture or thermal motion is included.

Principal peaks in the range 5° ≤ 2θ ≤ 70°, low angle first:
d_spacing  I/Imax  hkl
4.476  26.4  0 1 1
2.756  19.0  0 2 0
2.662  100.0  1 1 2
2.495  28.8  2 0 0
2.319  39.3  0 1 3
2.302  95.5  1 2 1
2.275  38.5  1 0 3
2.179  54.3  2 1 1
1.573  35.5  0 2 4
1.400  20.0  3 2 1

Structural model:
```
data_ThNiRu
_chemical_formula_sum 'Th4 Ni4 Ru4'
_space_group_name_H-M_alt 'I m m a'
_space_group_IT_number 74
_space_group_name_Hall '-I 2b 2'
_cell_length_a 4.990
_cell_length_b 5.513
_cell_length_c 7.668
_cell_angle_alpha 90.00
_cell_angle_beta 90.00
_cell_angle_gamma 90.00
loop_
_atom_site_label
_atom_site_type_symbol
_atom_site_fract_x
_atom_site_fract_y
_atom_site_fract_z
_atom_site_occupancy
Th1 Th 0.000 0.250 0.119 1
Ni1 Ni 0.250 0.250 0.750 1
Ru1 Ru 0.000 0.000 0.500 1
```

=====

Theoretical X-ray powder pattern of Na3Hg4Pd8 for Cu Kα X-rays, from a DFT-relaxed cell (GGA-PBE, Alexandria).
No peak broadening, texture or thermal motion is included.

Principal peaks in the range 5° ≤ 2θ ≤ 70°, low angle first:
d_spacing  I/Imax  hkl
7.670  8.4  1 1 1
6.643  16.3  2 0 0
3.835  54.2  2 2 2
2.557  14.3  3 3 3
2.349  100.0  4 4 0
2.246  15.9  5 3 1
2.026  13.4  5 3 3
2.003  53.8  6 2 2
1.661  8.7  8 0 0
1.356  30.1  8 4 4

Structural model:
```
data_Na3Hg4Pd8
_chemical_formula_sum 'Na24 Hg32 Pd64'
_space_group_name_H-M_alt 'F m -3 m'
_space_group_IT_number 225
_space_group_name_Hall '-F 4 2 3'
_cell_length_a 13.285
_cell_length_b 13.285
_cell_length_c 13.285
_cell_angle_alpha 90.00
_cell_angle_beta 90.00
_cell_angle_gamma 90.00
loop_
_atom_site_label
_atom_site_type_symbol
_atom_site_fract_x
_atom_site_fract_y
_atom_site_fract_z
_atom_site_occupancy
Na1 Na 0.000 0.000 0.229 1
Hg1 Hg 0.000 0.000 0.000 1
Hg2 Hg 0.000 0.000 0.500 1
Hg3 Hg 0.000 0.250 0.250 1
Pd1 Pd 0.122 0.122 0.378 1
Pd2 Pd 0.174 0.174 0.174 1
```

=====

Theoretical X-ray powder pattern of Ac2SnPdAu6 for Cu Kα X-rays, from a DFT-relaxed cell (GGA-PBE, Alexandria).
No peak broadening, texture or thermal motion is included.

Principal peaks in the range 5° ≤ 2θ ≤ 70°, low angle first:
d_spacing  I/Imax  hkl
3.308  28.5  0 0 2
3.113  69.1  0 1 2
2.965  83.4  1 2 0
2.881  83.4  2 0 1
2.450  32.0  0 2 2
2.406  42.3  2 0 -1
2.368  100.0  1 -2 1
2.318  36.5  2 2 0
2.252  32.3  1 0 3
2.064  29.1  2 1 3

Structural model:
```
data_Ac2SnPdAu6
_chemical_formula_sum 'Ac2 Sn1 Pd1 Au6'
_space_group_name_H-M_alt 'P -1'
_space_group_IT_number 2
_space_group_name_Hall '-P 1'
_cell_length_a 6.020
_cell_length_b 6.456
_cell_length_c 6.964
_cell_angle_alpha 78.58
_cell_angle_beta 73.76
_cell_angle_gamma 76.93
loop_
_atom_site_label
_atom_site_type_symbol
_atom_site_fract_x
_atom_site_fract_y
_atom_site_fract_z
_atom_site_occupancy
Ac1 Ac 0.160 0.243 0.250 1
Sn1 Sn 0.500 0.500 0.500 1
Pd1 Pd 0.000 0.000 0.000 1
Au1 Au 0.169 0.733 0.304 1
Au2 Au 0.326 0.635 0.893 1
Au3 Au 0.348 0.094 0.670 1
```

=====

Theoretical X-ray powder pattern of Tl5HgPb6 for Cu Kα X-rays, from a DFT-relaxed cell (GGA-PBE, Alexandria).
No peak broadening, texture or thermal motion is included.

Principal peaks in the range 5° ≤ 2θ ≤ 70°, low angle first:
d_spacing  I/Imax  hkl
2.898  100.0  1 3 1
2.852  47.9  2 0 -2
2.823  46.6  4 0 0
2.558  35.9  2 0 2
2.448  63.4  3 3 -1
1.776  24.6  1 3 -3
1.762  24.0  5 3 1
1.534  15.4  3 3 3
1.497  14.2  2 6 -2
1.492  14.0  4 6 0

Structural model:
```
data_Tl5HgPb6
_chemical_formula_sum 'Tl10 Hg2 Pb12'
_space_group_name_H-M_alt 'C 1 2/m 1'
_space_group_IT_number 12
_space_group_name_Hall '-C 2y'
_cell_length_a 11.387
_cell_length_b 10.549
_cell_length_c 6.180
_cell_angle_alpha 90.00
_cell_angle_beta 97.41
_cell_angle_gamma 90.00
loop_
_atom_site_label
_atom_site_type_symbol
_atom_site_fract_x
_atom_site_fract_y
_atom_site_fract_z
_atom_site_occupancy
Tl1 Tl 0.000 0.000 0.000 1
Tl2 Tl 0.000 0.170 0.500 1
Tl3 Tl 0.000 0.335 0.000 1
Hg1 Hg 0.000 0.500 0.500 1
Pb1 Pb 0.246 0.500 0.255 1
Pb2 Pb 0.249 0.335 0.749 1
```

=====

Theoretical X-ray powder pattern of Tm5Bi2Te for Cu Kα X-rays, from a DFT-relaxed cell (GGA-PBE, Alexandria).
No peak broadening, texture or thermal motion is included.

Principal peaks in the range 5° ≤ 2θ ≤ 70°, low angle first:
d_spacing  I/Imax  hkl
3.632  42.5  0 2 3
3.029  88.2  2 0 0
2.855  36.9  1 1 4
2.719  100.0  1 3 3
2.556  24.1  0 4 3
2.326  26.3  2 2 3
2.305  21.6  1 5 0
1.953  22.3  2 4 3
1.798  22.3  2 0 6
1.682  23.9  3 3 3

Structural model:
```
data_Tm5Bi2Te
_chemical_formula_sum 'Tm20 Bi8 Te4'
_space_group_name_H-M_alt 'C m c m'
_space_group_IT_number 63
_space_group_name_Hall '-C 2c 2'
_cell_length_a 6.056
_cell_length_b 12.464
_cell_length_c 13.407
_cell_angle_alpha 90.00
_cell_angle_beta 90.00
_cell_angle_gamma 90.00
loop_
_atom_site_label
_atom_site_type_symbol
_atom_site_fract_x
_atom_site_fract_y
_atom_site_fract_z
_atom_site_occupancy
Tm1 Tm 0.000 0.056 0.110 1
Tm2 Tm 0.000 0.373 0.750 1
Tm3 Tm 0.000 0.381 0.061 1
Bi1 Bi 0.000 0.189 0.592 1
Te1 Te 0.000 0.241 0.250 1
```

=====

Theoretical X-ray powder pattern of Ac4Rh3F for Cu Kα X-rays, from a DFT-relaxed cell (GGA-PBE, Alexandria).
No peak broadening, texture or thermal motion is included.

Principal peaks in the range 5° ≤ 2θ ≤ 70°, low angle first:
d_spacing  I/Imax  hkl
3.487  27.7  0 2 1
3.466  27.0  2 2 0
3.027  100.0  2 0 1
2.979  48.0  0 4 0
2.150  19.4  0 0 2
2.131  18.6  4 0 0
2.123  74.5  2 4 1
1.743  20.4  0 4 2
1.733  19.7  4 4 0
1.349  25.8  4 4 2

Structural model:
```
data_Ac4Rh3F
_chemical_formula_sum 'Ac8 Rh6 F2'
_space_group_name_H-M_alt 'C 1 m 1'
_space_group_IT_number 8
_space_group_name_Hall 'C -2y'
_cell_length_a 8.522
_cell_length_b 11.914
_cell_length_c 4.300
_cell_angle_alpha 90.00
_cell_angle_beta 90.00
_cell_angle_gamma 90.00
loop_
_atom_site_label
_atom_site_type_symbol
_atom_site_fract_x
_atom_site_fract_y
_atom_site_fract_z
_atom_site_occupancy
Ac1 Ac 0.000 0.000 0.000 1
Ac2 Ac 0.016 0.500 0.000 1
Ac3 Ac 0.257 0.247 0.500 1
Rh1 Rh 0.007 0.250 0.000 1
Rh2 Rh 0.257 0.500 0.500 1
F1 F 0.256 0.000 0.501 1
```